1.
Computed PXRD pattern
Compound: CaInB2
Radiation: λ = 1.5418 Å (Cu Kα)
Structure: a DFT-relaxed cell (PBE, Alexandria)

Peak list (10 most intense, 10° ≤ 2θ ≤ 80°, low angle first)
d [Å]  two_theta  I/Imax
4.202  21.1  39
3.894  22.8  43
2.868  31.2  100
2.182  41.4  22
1.986  45.7  33
1.903  47.8  29
1.453  64.1  12
1.434  65.0  13
1.359  69.1  18
1.218  78.5  14

Crystal structure
```
data_CaInB2
_cell_length_a 4.3633
_cell_length_b 4.3633
_cell_length_c 15.5750
_cell_angle_alpha 90.00
_cell_angle_beta 90.00
_cell_angle_gamma 90.00
_space_group_name_H-M_alt 'I 41/a m d'
_space_group_IT_number 141
loop_
_space_group_symop_operation_xyz
'x,y,z'
'-x,-y,-z'
'-y+1/4,x+3/4,z+1/4'
'y+1/4,-x+3/4,-z+1/4'
'-x+1/2,-y,z+1/2'
'x+1/2,y,-z+1/2'
'y+1/4,-x+1/4,z+3/4'
'-y+1/4,x+1/4,-z+3/4'
'x,-y,-z'
'-x,y,z'
'-y+1/4,-x+1/4,-z+3/4'
'y+1/4,x+1/4,z+3/4'
'-x+1/2,y,-z+1/2'
'x+1/2,-y,z+1/2'
'y+1/4,x+3/4,-z+1/4'
'-y+1/4,-x+3/4,z+1/4'
'x+1/2,y+1/2,z+1/2'
'-x+1/2,-y+1/2,-z+1/2'
'-y+3/4,x+1/4,z+3/4'
'y+3/4,-x+1/4,-z+3/4'
'-x,-y+1/2,z'
'x,y+1/2,-z'
'y+3/4,-x+3/4,z+1/4'
'-y+3/4,x+3/4,-z+1/4'
'x+1/2,-y+1/2,-z+1/2'
'-x+1/2,y+1/2,z+1/2'
'-y+3/4,-x+3/4,-z+1/4'
'y+3/4,x+3/4,z+1/4'
'-x,y+1/2,-z'
'x,-y+1/2,z'
'y+3/4,x+1/4,-z+3/4'
'-y+3/4,-x+1/4,z+3/4'
loop_
_atom_site_label
_atom_site_type_symbol
_atom_site_fract_x
_atom_site_fract_y
_atom_site_fract_z
_atom_site_occupancy
Ca1 Ca 0.0000 0.2500 0.3750 1
In1 In 0.0000 0.2500 0.8750 1
B1 B 0.0000 0.0000 0.0000 1
```



2.
Computed PXRD pattern
Compound: Ac8Sn3
Radiation: λ = 1.5418 Å (Cu Kα)
Structure: a DFT-relaxed cell (PBE, Alexandria)

Peak list (10 most intense, 10° ≤ 2θ ≤ 80°, low angle first)
d [Å]  two_theta  I/Imax
3.543  25.1  43
3.510  25.4  100
3.251  27.4  34
3.213  27.8  43
2.395  37.5  12
2.375  37.9  27
2.127  42.5  10
2.109  42.9  15
2.096  43.2  35
1.365  68.8  11

Crystal structure
```
data_Ac8Sn3
_cell_length_a 11.0863
_cell_length_b 11.0863
_cell_length_c 13.8211
_cell_angle_alpha 90.00
_cell_angle_beta 90.00
_cell_angle_gamma 120.00
_space_group_name_H-M_alt 'R -3'
_space_group_IT_number 148
_space_group_name_Hall '-R 3'
loop_
_atom_site_label
_atom_site_type_symbol
_atom_site_fract_x
_atom_site_fract_y
_atom_site_fract_z
_atom_site_occupancy
Ac1 Ac 0.0000 0.0000 0.1489 1
Ac2 Ac 0.0374 0.2458 0.6131 1
Sn1 Sn 0.0000 0.5000 0.5000 1
```



3.
Computed PXRD pattern
Compound: IrPt2Rh
Radiation: λ = 1.5418 Å (Cu Kα)
Structure: a DFT-relaxed cell (PBE, Alexandria)

Peak list (10 most intense, 10° ≤ 2θ ≤ 80°, low angle first)
d [Å]  two_theta  I/Imax
3.926  22.6  2
3.500  25.4  5
2.765  32.4  1
2.260  39.9  100
2.175  41.5  1
1.963  46.2  16
1.955  46.5  33
1.707  53.7  1
1.385  67.6  21
1.382  67.8  11

Crystal structure
```
data_IrPt2Rh
_cell_length_a 3.9099
_cell_length_b 3.9099
_cell_length_c 7.8520
_cell_angle_alpha 90.00
_cell_angle_beta 90.00
_cell_angle_gamma 90.00
_space_group_name_H-M_alt 'P 4/n m m'
_space_group_IT_number 129
loop_
_space_group_symop_operation_xyz
'x,y,z'
'-x,-y,-z'
'-y+1/2,x,z'
'y+1/2,-x,-z'
'-x+1/2,-y+1/2,z'
'x+1/2,y+1/2,-z'
'y,-x+1/2,z'
'-y,x+1/2,-z'
'x+1/2,-y,-z'
'-x+1/2,y,z'
'-y,-x,-z'
'y,x,z'
'-x,y+1/2,-z'
'x,-y+1/2,z'
'y+1/2,x+1/2,-z'
'-y+1/2,-x+1/2,z'
loop_
_atom_site_label
_atom_site_type_symbol
_atom_site_fract_x
_atom_site_fract_y
_atom_site_fract_z
_atom_site_occupancy
Ir1 Ir 0.2500 0.7500 0.0000 1
Pt1 Pt 0.2500 0.2500 0.2424 1
Pt2 Pt 0.2500 0.7500 0.5000 1
Rh1 Rh 0.2500 0.2500 0.7605 1
```